Calculated powder diffraction line list
Compound: NaTl10Bi2
Radiation: Cu Kα (λ = 1.5418 Å)
Structure: a crystal structure in Alexandria, relaxed with PBE
Neutral-atom scattering factors, no anomalous dispersion.

Structural model:
Unit cell a=11.6570 b=8.8481 c=8.8372 alpha=82.47 beta=48.81 gamma=48.73
Element x y z (fractional)
Na1 0.0000 0.0000 0.0000
Tl1 0.0000 0.5000 0.0000
Tl2 0.0013 0.3557 0.6443
Tl3 0.2959 0.5020 0.4980
Tl4 0.3557 0.0013 0.9987
Tl5 0.4980 0.7041 0.2959
Tl6 0.5000 0.0000 0.5000
Tl7 0.5020 0.2959 0.7041
Tl8 0.6443 0.9987 0.0013
Tl9 0.7041 0.4980 0.5020
Tl10 0.9987 0.6443 0.3557
Bi1 0.0000 0.0000 0.5000
Bi2 0.5000 0.5000 0.0000

Top 10 peaks for 10° ≤ 2θ ≤ 90°, sorted by position:
15.20 deg, I 25
15.79 deg, I 29
26.84 deg, I 36
30.68 deg, I 56
30.99 deg, I 91
31.89 deg, I 71
34.41 deg, I 79
34.68 deg, I 56
35.51 deg, I 100
55.31 deg, I 41

Calculated powder diffraction line list
Compound: Na8Tl2Bi3
Radiation: Cu Kα (λ = 1.5418 Å)
Structure: a crystal structure in Alexandria, relaxed with PBE
Neutral-atom scattering factors, no anomalous dispersion.

Structural model:
Unit cell a=12.2795 b=12.2795 c=12.2795 alpha=30.18 beta=30.18 gamma=30.18
Element x y z (fractional)
Na1 0.2149 0.2149 0.2149
Na2 0.2190 0.2190 0.7095
Na3 0.2190 0.7095 0.2190
Na4 0.2905 0.7810 0.7810
Na5 0.7095 0.2190 0.2190
Na6 0.7810 0.2905 0.7810
Na7 0.7810 0.7810 0.2905
Na8 0.7851 0.7851 0.7851
Tl1 0.1283 0.1283 0.1283
Tl2 0.8717 0.8717 0.8717
Bi1 0.3021 0.3021 0.3021
Bi2 0.5000 0.5000 0.5000
Bi3 0.6979 0.6979 0.6979

Top 10 peaks for 10° ≤ 2θ ≤ 90°, sorted by position:
20.42 deg, I 100
27.91 deg, I 81
30.12 deg, I 19
31.90 deg, I 19
32.36 deg, I 34
34.83 deg, I 41
45.21 deg, I 27
49.38 deg, I 18
52.26 deg, I 18
57.68 deg, I 15

Calculated powder diffraction line list
Compound: Na2Tl5Bi5
Radiation: Cu Kα (λ = 1.5418 Å)
Structure: a crystal structure in Alexandria, relaxed with PBE
Neutral-atom scattering factors, no anomalous dispersion.

Structural model:
Unit cell a=7.8242 b=7.8242 c=11.0408 alpha=114.26 beta=114.26 gamma=37.99
Element x y z (fractional)
Na1 0.0836 0.0836 0.2500
Na2 0.9164 0.9164 0.7500
Tl1 0.0000 0.0000 0.5000
Tl2 0.1573 0.1573 0.9921
Tl3 0.2469 0.2469 0.7487
Tl4 0.7531 0.7531 0.2513
Tl5 0.8427 0.8427 0.0079
Bi1 0.3315 0.3315 0.4972
Bi2 0.4257 0.4257 0.2572
Bi3 0.5000 0.5000 0.0000
Bi4 0.5743 0.5743 0.7428
Bi5 0.6685 0.6685 0.5028

Top 10 peaks for 10° ≤ 2θ ≤ 90°, sorted by position:
30.85 deg, I 100
31.14 deg, I 100
35.24 deg, I 39
36.13 deg, I 33
36.44 deg, I 32
51.36 deg, I 25
51.59 deg, I 25
60.53 deg, I 15
60.70 deg, I 15
62.06 deg, I 15